Computed powder XRD pattern
Compound: Pr2Ni12As7
Radiation: CuKα
Structure: the GGA-PBE geometry in the Materials Project
Peak positions follow from Bragg's law for the DFT cell and can differ from measured ones.

Main lines, by intensity (2θ = 10–90°):
hkl 1 2 1, 2θ 37.23, intensity 100
hkl 0 0 2, 2θ 46.63, intensity 28
hkl 3 1 1, 2θ 46.48, intensity 24
hkl 4 1 0, 2θ 51.43, intensity 21
hkl 2 3 1, 2θ 54.48, intensity 19
hkl 4 1 2, 2θ 71.93, intensity 15

Cell and atoms:
```
Pr2Ni12As7
1.0
9.4019 0.0000 0.0000
-4.7010 8.1423 0.0000
0.0000 0.0000 3.8957
Pr Ni As
2 12 7
direct
0.0000 0.0000 0.0000
0.3333 0.6667 0.5000
0.0405 0.7550 0.5000
0.1073 0.3883 0.0000
0.2450 0.2855 0.5000
0.2810 0.8927 0.0000
0.3886 0.2011 0.0000
0.5567 0.1267 0.5000
0.5700 0.4433 0.5000
0.6117 0.7190 0.0000
0.7145 0.9595 0.5000
0.7989 0.1875 0.0000
0.8125 0.6114 0.0000
0.8733 0.4300 0.5000
0.0629 0.6166 0.0000
0.2649 0.0330 0.5000
0.3834 0.4463 0.0000
0.5537 0.9371 0.0000
0.6667 0.3333 0.0000
0.7681 0.7351 0.5000
0.9670 0.2319 0.5000
```